# 1
For Sr2SnBiS5, a PBE-relaxed structure gives the simulated powder XRD pattern in this record (Cu Kα X-rays).
Lines closer than 0.1° are merged.

Largest 10 diffraction maxima, by angle, 2θ from 10° to 90°:
14.57 deg, 6.081 Å, I = 30, (0 0 2); 24.11 deg, 3.691 Å, I = 32, (0 2 3); 24.74 deg, 3.599 Å, I = 26, (0 4 2); 25.23 deg, 3.530 Å, I = 27, (1 3 0); 26.29 deg, 3.390 Å, I = 64, (1 3 1); 30.45 deg, 2.936 Å, I = 100, (1 1 3); 30.92 deg, 2.892 Å, I = 67, (0 6 1); 35.62 deg, 2.520 Å, I = 54, (1 5 2); 41.18 deg, 2.192 Å, I = 36, (2 0 0); 52.39 deg, 1.746 Å, I = 34, (2 6 1)

Cell and atoms:
```
data_Sr2SnBiS5
_cell_length_a 4.3835
_cell_length_b 17.8621
_cell_length_c 12.1613
_cell_angle_alpha 90.00
_cell_angle_beta 90.00
_cell_angle_gamma 90.00
_symmetry_space_group_name_H-M 'C m c 21'
_symmetry_Int_Tables_number 36
loop_
_symmetry_equiv_pos_as_xyz
'x,y,z'
'-x,-y,z+1/2'
'-x,y,z'
'x,-y,z+1/2'
'x+1/2,y+1/2,z'
'-x+1/2,-y+1/2,z+1/2'
'-x+1/2,y+1/2,z'
'x+1/2,-y+1/2,z+1/2'
loop_
_atom_site_label
_atom_site_fract_x
_atom_site_fract_y
_atom_site_fract_z
Sr1 0.0000 0.1130 0.0000
Sr2 0.0000 0.1269 0.6295
Sn1 0.0000 0.4467 0.7708
Bi1 0.0000 0.2173 0.3437
S1 0.0000 0.0422 0.3671
S2 0.0000 0.2832 0.9907
S3 0.0000 0.3171 0.6826
S4 0.0000 0.3634 0.3191
S5 0.0000 0.4953 0.0889
```

# 2
For Sm4ErSb5, a PBE-relaxed structure gives the simulated powder XRD pattern in this record (Cu Kα X-rays).
Lines closer than 0.1° are merged.

Largest 10 diffraction maxima, by angle, 2θ from 10° to 90°:
24.51 deg, 3.632 Å, I = 2, (1 0 5); 28.38 deg, 3.145 Å, I = 100, (1 1 0); 40.56 deg, 2.224 Å, I = 76, (2 0 0); 47.97 deg, 1.897 Å, I = 1, (1 0 15); 50.24 deg, 1.816 Å, I = 27, (2 0 10); 58.71 deg, 1.573 Å, I = 13, (2 2 0); 66.46 deg, 1.407 Å, I = 23, (3 1 0); 66.50 deg, 1.406 Å, I = 12, (1 1 20); 73.80 deg, 1.284 Å, I = 26, (3 1 10); 87.78 deg, 1.112 Å, I = 8, (4 0 0)

Cell and atoms:
```
data_Sm4ErSb5
_cell_length_a 4.4492
_cell_length_b 4.4492
_cell_length_c 31.4343
_cell_angle_alpha 90.00
_cell_angle_beta 90.00
_cell_angle_gamma 90.00
_symmetry_space_group_name_H-M 'I 4/m m m'
_symmetry_Int_Tables_number 139
_symmetry_space_group_name_Hall '-I 4 2'
loop_
_atom_site_label
_atom_site_fract_x
_atom_site_fract_y
_atom_site_fract_z
Sm1 0.0000 0.0000 0.0996
Sm2 0.0000 0.0000 0.3007
Er1 0.0000 0.0000 0.5000
Sb1 0.0000 0.0000 0.0000
Sb2 0.0000 0.0000 0.2000
Sb3 0.0000 0.0000 0.4016
```

# 3
For TbUSeO2, a PBE-relaxed structure gives the simulated powder XRD pattern in this record (Cu Kα X-rays).
Lines closer than 0.1° are merged.

Largest 10 diffraction maxima, by angle, 2θ from 10° to 90°:
24.33 deg, 3.658 Å, I = 25, (1 0 1); 32.10 deg, 2.789 Å, I = 100, (1 0 3); 33.03 deg, 2.712 Å, I = 44, (1 1 0); 44.74 deg, 2.026 Å, I = 16, (1 1 4); 47.41 deg, 1.918 Å, I = 21, (2 0 0); 56.61 deg, 1.626 Å, I = 17, (1 1 6); 58.19 deg, 1.585 Å, I = 9, (1 0 7); 58.40 deg, 1.580 Å, I = 37, (2 1 3); 78.43 deg, 1.219 Å, I = 9, (3 0 3); 86.30 deg, 1.127 Å, I = 9, (2 2 6)

Cell and atoms:
```
data_TbUSeO2
_cell_length_a 3.8352
_cell_length_b 3.8352
_cell_length_c 12.1873
_cell_angle_alpha 90.00
_cell_angle_beta 90.00
_cell_angle_gamma 90.00
_symmetry_space_group_name_H-M 'I 4 m m'
_symmetry_Int_Tables_number 107
_symmetry_space_group_name_Hall 'I 4 -2'
loop_
_atom_site_label
_atom_site_fract_x
_atom_site_fract_y
_atom_site_fract_z
Tb1 0.0000 0.0000 0.0000
U1 0.0000 0.0000 0.2963
Se1 0.0000 0.0000 0.6498
O1 0.0000 0.5000 0.4012
```

# 4
For LaPr4Nd3, a PBE-relaxed structure gives the simulated powder XRD pattern in this record (Cu Kα X-rays).
Lines closer than 0.1° are merged.

Largest 10 diffraction maxima, by angle, 2θ from 10° to 90°:
29.52 deg, 3.026 Å, I = 100, (2 2 0); 34.13 deg, 2.627 Å, I = 17, (4 0 0); 34.26 deg, 2.618 Å, I = 34, (0 2 2); 49.17 deg, 1.853 Å, I = 36, (4 2 2); 58.29 deg, 1.583 Å, I = 15, (6 2 0); 58.45 deg, 1.579 Å, I = 29, (2 4 2); 61.26 deg, 1.513 Å, I = 13, (4 4 0); 79.71 deg, 1.203 Å, I = 12, (6 4 2); 79.85 deg, 1.201 Å, I = 6, (2 6 0); 82.35 deg, 1.171 Å, I = 11, (4 4 4)

Cell and atoms:
```
data_LaPr4Nd3
_cell_length_a 10.5067
_cell_length_b 7.4039
_cell_length_c 7.4034
_cell_angle_alpha 90.00
_cell_angle_beta 90.00
_cell_angle_gamma 90.00
_symmetry_space_group_name_H-M 'P m n a'
_symmetry_Int_Tables_number 53
loop_
_symmetry_equiv_pos_as_xyz
'x,y,z'
'-x,-y,-z'
'-x+1/2,-y,z+1/2'
'x+1/2,y,-z+1/2'
'x,-y,-z'
'-x,y,z'
'-x+1/2,y,-z+1/2'
'x+1/2,-y,z+1/2'
loop_
_atom_site_label
_atom_site_fract_x
_atom_site_fract_y
_atom_site_fract_z
La1 0.0000 0.0000 0.0000
Pr1 0.0000 0.0000 0.5000
Pr2 0.0000 0.5000 0.0000
Pr3 0.2500 0.2511 0.2500
Nd1 0.0000 0.5000 0.5000
Nd2 0.2500 0.2511 0.7500
```

# 5
For La3Si2Ir2, a PBE-relaxed structure gives the simulated powder XRD pattern in this record (Cu Kα X-rays).
Lines closer than 0.1° are merged.

Largest 10 diffraction maxima, by angle, 2θ from 10° to 90°:
15.13 deg, 5.855 Å, I = 20, (1 0 0); 25.73 deg, 3.462 Å, I = 26, (0 2 2); 32.59 deg, 2.747 Å, I = 44, (2 1 0); 33.23 deg, 2.696 Å, I = 33, (2 1 1); 33.55 deg, 2.671 Å, I = 27, (1 2 3); 34.70 deg, 2.585 Å, I = 29, (0 2 4); 36.76 deg, 2.445 Å, I = 32, (1 3 0); 38.37 deg, 2.346 Å, I = 100, (2 1 3); 40.19 deg, 2.244 Å, I = 32, (0 0 6); 42.08 deg, 2.147 Å, I = 21, (1 3 3)

Cell and atoms:
```
data_La3Si2Ir2
_cell_length_a 5.8548
_cell_length_b 8.0727
_cell_length_c 13.4643
_cell_angle_alpha 90.00
_cell_angle_beta 90.00
_cell_angle_gamma 90.00
_symmetry_space_group_name_H-M 'P b c m'
_symmetry_Int_Tables_number 57
loop_
_symmetry_equiv_pos_as_xyz
'x,y,z'
'-x,-y,-z'
'-x,-y,z+1/2'
'x,y,-z+1/2'
'x,-y+1/2,-z'
'-x,y+1/2,z'
'-x,y+1/2,-z+1/2'
'x,-y+1/2,z+1/2'
loop_
_atom_site_label
_atom_site_fract_x
_atom_site_fract_y
_atom_site_fract_z
La1 0.1357 0.1140 0.1011
La2 0.3628 0.7368 0.7500
Si1 0.1590 0.0897 0.7500
Si2 0.3956 0.7500 0.0000
Ir1 0.3699 0.0290 0.5894
```